# 1
Diffraction record for Ac2GaPd7. The powder X-ray diffraction pattern is calculated, not measured: it uses a DFT-relaxed cell (GGA-PBE, Alexandria) and Cu Ka.
Lines closer than 0.1° are merged.

Most intense lines, 10 to 80 degrees two-theta, in order of rising 2θ:
two_theta	d_spacing	Rel. int.
30.5	2.930	18
30.9	2.893	58
34.0	2.638	100
43.2	2.092	38
43.7	2.072	48
54.5	1.684	24
63.2	1.472	25
63.5	1.465	16
74.0	1.281	21
78.2	1.223	11

Cell and atoms:
```
10
Lattice="4.143 0.000 0.000 0.000 4.143 0.000 0.000 0.000 12.121" Properties=species:S:1:pos:R:3 pbc="T T T"
Ac 0.000 2.072 2.826
Ac 2.072 0.000 9.295
Ga 0.000 0.000 6.061
Pd 0.000 0.000 0.000
Pd 0.000 2.072 7.710
Pd 0.000 2.072 10.347
Pd 2.072 0.000 1.774
Pd 2.072 0.000 4.411
Pd 2.072 2.072 0.000
Pd 2.072 2.072 6.061
```



# 2
Diffraction record for K2Cd7Sn. The powder X-ray diffraction pattern is calculated, not measured: it uses a DFT-relaxed cell (GGA-PBE, Alexandria) and Cu Ka.
Lines closer than 0.1° are merged.

Most intense lines, 10 to 80 degrees two-theta, in order of rising 2θ:
two_theta	d_spacing	Rel. int.
13.7	6.441	34
19.8	4.479	50
27.9	3.193	28
29.9	2.991	100
37.7	2.388	68
38.6	2.331	83
39.7	2.268	30
54.3	1.689	23
63.2	1.471	22
68.6	1.368	29

Cell and atoms:
```
10
Lattice="4.777 0.000 0.000 0.000 4.777 0.000 0.000 0.000 12.882" Properties=species:S:1:pos:R:3 pbc="T T T"
K 0.000 2.388 3.211
K 2.388 0.000 9.671
Cd 0.000 0.000 0.000
Cd 0.000 0.000 6.441
Cd 0.000 2.388 8.211
Cd 0.000 2.388 11.060
Cd 2.388 0.000 1.823
Cd 2.388 0.000 4.672
Cd 2.388 2.388 6.441
Sn 2.388 2.388 0.000
```



# 3
Diffraction record for UPa3S4. The powder X-ray diffraction pattern is calculated, not measured: it uses a DFT-relaxed cell (GGA-PBE, Alexandria) and Cu Ka.
Lines closer than 0.1° are merged.

Most intense lines, 10 to 80 degrees two-theta, in order of rising 2θ:
two_theta	d_spacing	Rel. int.
27.5	3.246	28
28.1	3.175	53
28.7	3.113	25
32.6	2.751	100
45.9	1.976	26
46.7	1.946	25
47.5	1.915	23
58.1	1.587	13
68.2	1.375	12
76.5	1.246	12

Cell and atoms:
```
16
Lattice="6.884 0.000 0.000 0.000 7.777 0.000 -2.192 0.000 6.225" Properties=species:S:1:pos:R:3 pbc="T T T"
U -0.548 0.972 1.556
U -1.644 6.805 4.669
Pa -1.644 2.912 4.669
Pa -0.548 4.865 1.556
Pa 1.798 0.975 4.669
Pa 2.894 2.919 1.556
Pa 1.798 4.858 4.669
Pa 2.894 6.802 1.556
S 1.708 0.964 0.001
S 0.612 6.814 3.113
S 0.618 2.910 3.105
S -0.479 4.867 6.218
S 5.170 2.910 0.008
S 4.074 4.867 3.120
S 4.079 0.964 3.112
S 2.983 6.814 6.225
```



# 4
Diffraction record for NdGa9Pd3. The powder X-ray diffraction pattern is calculated, not measured: it uses a DFT-relaxed cell (GGA-PBE, Alexandria) and Cu Ka.
Lines closer than 0.1° are merged.

Most intense lines, 10 to 80 degrees two-theta, in order of rising 2θ:
two_theta	d_spacing	Rel. int.
33.5	2.676	44
37.6	2.393	85
38.5	2.338	73
38.9	2.314	30
39.3	2.291	33
39.5	2.279	42
39.9	2.258	100
40.0	2.252	36
43.2	2.096	42
44.9	2.020	47

Cell and atoms:
```
13
Lattice="2.778 -6.392 0.000 2.778 6.392 0.000 -2.544 0.000 6.384" Properties=species:S:1:pos:R:3 pbc="T T T"
Nd 0.000 0.000 0.000
Ga -1.272 0.000 3.192
Ga 0.134 4.097 4.180
Ga 0.226 1.377 5.040
Ga 2.879 4.097 2.204
Ga 2.787 1.377 1.344
Ga 0.226 -1.377 5.040
Ga 0.134 -4.097 4.180
Ga 2.787 -1.377 1.344
Ga 2.879 -4.097 2.204
Pd 1.389 3.196 0.000
Pd 1.389 -3.196 0.000
Pd 1.507 0.000 3.192
```